The following is a calculated PXRD pattern of SrSi3Ni5. It was derived from a cell relaxed with GGA-PBE, using Cu Kα, 1.54184 Å.
Lines closer than 0.1° are merged.

Structure:
Cell lengths 6.2135, 6.2135, 11.7569 Å; angles 90.00, 90.00, 145.22 degrees
Fractional positions:
Sr (0.1654, 0.8346, 0.7500)
Sr (0.8346, 0.1654, 0.2500)
Si (0.1061, 0.8939, 0.2500)
Si (0.3828, 0.6172, 0.0362)
Si (0.3828, 0.6172, 0.4638)
Si (0.6172, 0.3828, 0.5362)
Si (0.6172, 0.3828, 0.9638)
Si (0.8939, 0.1061, 0.7500)
Ni (0.0000, 0.0000, 0.0000)
Ni (0.0000, 0.0000, 0.5000)
Ni (0.1953, 0.8047, 0.0644)
Ni (0.1953, 0.8047, 0.4356)
Ni (0.4483, 0.5517, 0.6446)
Ni (0.4483, 0.5517, 0.8554)
Ni (0.5517, 0.4483, 0.1446)
Ni (0.5517, 0.4483, 0.3554)
Ni (0.8047, 0.1953, 0.5644)
Ni (0.8047, 0.1953, 0.9356)

Principal peaks in the range 2θ = 10–90°, most intense first:
2θ (°)  I/Imax
34.11  100
49.02  98
39.84  89
33.10  57
36.55  47
45.37  46
27.28  41
48.08  37
31.11  35
38.06  30
58.12  27
51.31  24